This entry pairs a crystal structure of Tb8Pm3Nd3 with its simulated X-ray diffraction stick pattern. Radiation: Cu Ka. Structure: DFT lattice parameters and positions (PBE).
Kinematic intensities with the Lorentz-polarization factor, no thermal factor.

Structural model:
Cell lengths 5.713, 10.856, 15.240 Å; angles 90.00, 90.00, 90.00 degrees
Space group Immm (No. 71)
One atom of each set of equivalent atoms:
Tb (0.000, 0.160, 0.103) x8
Tb (0.000, 0.339, 0.279) x8
Pm (0.000, 0.199, 0.500) x4
Pm (0.000, 0.500, 0.500) x2
Nd (0.000, 0.000, 0.315) x4
Nd (0.000, 0.500, 0.000) x2

Main lines, in order of rising 2θ (2θ from 15° to 90°):
- hkl 1 2 3, 28.70 deg, rel. 12
- hkl 1 1 4, 29.35 deg, rel. 31
- hkl 0 3 3, 30.33 deg, rel. 29
- hkl 2 0 0, 31.32 deg, rel. 53
- hkl 1 3 2, 31.53 deg, rel. 100
- hkl 1 0 5, 33.32 deg, rel. 56
- hkl 2 3 3, 44.17 deg, rel. 24
- hkl 0 6 0, 50.44 deg, rel. 11
- hkl 3 3 2, 55.88 deg, rel. 20
- hkl 3 0 5, 57.00 deg, rel. 21
- hkl 2 6 0, 60.58 deg, rel. 13
- hkl 1 6 5, 61.80 deg, rel. 14



This entry pairs a crystal structure of RuPtSe2 with its simulated X-ray diffraction stick pattern. Radiation: Cu Ka. Structure: DFT lattice parameters and positions (PBE).
Kinematic intensities with the Lorentz-polarization factor, no thermal factor.

Structural model:
Cell lengths 13.104, 2.892, 4.771 Å; angles 90.00, 94.50, 90.00 degrees
Space group C2/m (No. 12)
One atom of each set of equivalent atoms:
Ru (0.000, 0.000, 0.000) x2
Pt (0.000, 0.500, 0.500) x2
Se (0.144, 0.500, 0.201) x4

Main lines, in order of rising 2θ (2θ from 15° to 90°):
- hkl 2 0 1, 23.99 deg, rel. 63
- hkl 1 1 0, 31.69 deg, rel. 36
- hkl 4 0 -1, 32.00 deg, rel. 20
- hkl 1 1 1, 37.31 deg, rel. 100
- hkl 2 0 -2, 39.29 deg, rel. 49
- hkl 3 1 -1, 41.27 deg, rel. 38
- hkl 6 0 0, 41.46 deg, rel. 53
- hkl 3 1 1, 42.81 deg, rel. 73
- hkl 4 0 -2, 45.38 deg, rel. 26
- hkl 4 0 2, 49.13 deg, rel. 31
- hkl 5 1 -1, 49.74 deg, rel. 62
- hkl 1 1 -3, 67.23 deg, rel. 24